# KMg3Tl9
Theoretical PXRD pattern, copper Kα. Input: a cell relaxed with PBE.
Neutral-atom scattering factors, no anomalous dispersion.

Largest 10 diffraction maxima, by intensity, 15 to 90 degrees two-theta:
- 2θ 32.09, rel. 1000
- 2θ 36.51, rel. 882
- 2θ 32.71, rel. 870
- 2θ 28.02, rel. 718
- 2θ 28.64, rel. 681
- 2θ 36.12, rel. 653
- 2θ 32.22, rel. 590
- 2θ 16.31, rel. 553
- 2θ 37.00, rel. 551
- 2θ 36.62, rel. 520

Structural model:
```
KMg3Tl9
1.0
3.1170 -7.9596 0.0000
3.1170 7.9596 0.0000
-3.1095 0.0000 7.7600
K Mg Tl
1 3 9
direct
0.0000 0.0000 0.0000 K
0.0000 0.5000 0.0000 Mg
0.5000 0.0000 0.0000 Mg
0.5000 0.5000 0.5000 Mg
0.0000 0.0000 0.5000 Tl
0.0019 0.6453 0.6515 Tl
0.2975 0.5165 0.7884 Tl
0.3547 0.9981 0.3485 Tl
0.4835 0.7025 0.2116 Tl
0.5165 0.2975 0.7884 Tl
0.6453 0.0019 0.6515 Tl
0.7025 0.4835 0.2116 Tl
0.9981 0.3547 0.3485 Tl
```